# 1
Structure and theoretical powder XRD pattern of K2CuMoCl6 (a DFT-relaxed cell (GGA-PBE, the Materials Project); Cu Kα, 1.54184 Å).
No peak broadening, texture or thermal motion is included.

```
data_K2CuMoCl6
_chemical_formula_sum 'K8 Cu4 Mo4 Cl24'
_symmetry_space_group_name_H-M 'F m -3 m'
_symmetry_Int_Tables_number 225
_symmetry_space_group_name_Hall '-F 4 2 3'
_cell_length_a 10.0018
_cell_length_b 10.0018
_cell_length_c 10.0018
_cell_angle_alpha 90.00
_cell_angle_beta 90.00
_cell_angle_gamma 90.00
loop_
_atom_site_label
_atom_site_fract_x
_atom_site_fract_y
_atom_site_fract_z
K1 0.2500 0.2500 0.2500
Cu1 0.0000 0.0000 0.0000
Mo1 0.0000 0.0000 0.5000
Cl1 0.0000 0.0000 0.2524
```

Main lines, low angle first (2θ from 10° to 90°):
| 2θ/deg | I_rel |
| --- | --- |
| 17.74 | 71.7 |
| 25.18 | 75.2 |
| 35.92 | 100.0 |
| 40.33 | 33.4 |
| 44.37 | 32.1 |
| 51.70 | 62.9 |

---

# 2
Structure and theoretical powder XRD pattern of K3GaBr6 (a DFT-relaxed cell (GGA-PBE, the Materials Project); Cu Kα, 1.54184 Å).
No peak broadening, texture or thermal motion is included.

```
data_K3GaBr6
_chemical_formula_sum 'K12 Ga4 Br24'
_symmetry_space_group_name_H-M 'F m -3 m'
_symmetry_Int_Tables_number 225
_symmetry_space_group_name_Hall '-F 4 2 3'
_cell_length_a 11.3356
_cell_length_b 11.3356
_cell_length_c 11.3356
_cell_angle_alpha 90.00
_cell_angle_beta 90.00
_cell_angle_gamma 90.00
loop_
_atom_site_label
_atom_site_fract_x
_atom_site_fract_y
_atom_site_fract_z
K1 0.0000 0.0000 0.0000
K2 0.2500 0.2500 0.2500
Ga1 0.0000 0.0000 0.5000
Br1 0.0000 0.0000 0.2739
```

Main lines, low angle first (2θ from 10° to 90°):
| 2θ/deg | I_rel |
| --- | --- |
| 13.53 | 25.6 |
| 15.63 | 52.7 |
| 27.25 | 87.0 |
| 31.57 | 100.0 |
| 45.25 | 64.5 |
| 53.63 | 28.4 |

---

# 3
Structure and theoretical powder XRD pattern of ZnCu2SiSe4 (a DFT-relaxed cell (GGA-PBE, the Materials Project); Cu Kα, 1.54184 Å).
No peak broadening, texture or thermal motion is included.

```
data_ZnCu2SiSe4
_chemical_formula_sum 'Zn2 Cu4 Si2 Se8'
_symmetry_space_group_name_H-M 'P m n 21'
_symmetry_Int_Tables_number 31
_cell_length_a 7.8339
_cell_length_b 6.8440
_cell_length_c 6.5111
_cell_angle_alpha 90.00
_cell_angle_beta 90.00
_cell_angle_gamma 90.00
loop_
_symmetry_equiv_pos_as_xyz
'x,y,z'
'-x+1/2,-y,z+1/2'
'-x,y,z'
'x+1/2,-y,z+1/2'
loop_
_atom_site_label
_atom_site_fract_x
_atom_site_fract_y
_atom_site_fract_z
Zn1 0.0000 0.1506 0.0000
Cu1 0.2472 0.3259 0.5066
Si1 0.0000 0.8297 0.4986
Se1 0.0000 0.1499 0.3829
Se2 0.0000 0.8173 0.8566
Se3 0.2402 0.6624 0.3785
```

Main lines, low angle first (2θ from 10° to 90°):
| 2θ/deg | I_rel |
| --- | --- |
| 26.04 | 46.2 |
| 26.21 | 100.0 |
| 27.40 | 83.6 |
| 29.64 | 72.4 |
| 46.04 | 78.1 |
| 49.85 | 82.2 |

---

# 4
Structure and theoretical powder XRD pattern of NdNbO2 (a DFT-relaxed cell (GGA-PBE, the Materials Project); Cu Kα, 1.54184 Å).
No peak broadening, texture or thermal motion is included.

```
data_NdNbO2
_chemical_formula_sum 'Nd8 Nb8 O16'
_symmetry_space_group_name_H-M 'I 41/a m d'
_symmetry_Int_Tables_number 141
_cell_length_a 6.3343
_cell_length_b 6.3343
_cell_length_c 11.9777
_cell_angle_alpha 90.00
_cell_angle_beta 90.00
_cell_angle_gamma 90.00
loop_
_symmetry_equiv_pos_as_xyz
'x,y,z'
'-x,-y,-z'
'-y+1/4,x+3/4,z+1/4'
'y+1/4,-x+3/4,-z+1/4'
'-x+1/2,-y,z+1/2'
'x+1/2,y,-z+1/2'
'y+1/4,-x+1/4,z+3/4'
'-y+1/4,x+1/4,-z+3/4'
'x,-y,-z'
'-x,y,z'
'-y+1/4,-x+1/4,-z+3/4'
'y+1/4,x+1/4,z+3/4'
'-x+1/2,y,-z+1/2'
'x+1/2,-y,z+1/2'
'y+1/4,x+3/4,-z+1/4'
'-y+1/4,-x+3/4,z+1/4'
'x+1/2,y+1/2,z+1/2'
'-x+1/2,-y+1/2,-z+1/2'
'-y+3/4,x+1/4,z+3/4'
'y+3/4,-x+1/4,-z+3/4'
'-x,-y+1/2,z'
'x,y+1/2,-z'
'y+3/4,-x+3/4,z+1/4'
'-y+3/4,x+3/4,-z+1/4'
'x+1/2,-y+1/2,-z+1/2'
'-x+1/2,y+1/2,z+1/2'
'-y+3/4,-x+3/4,-z+1/4'
'y+3/4,x+3/4,z+1/4'
'-x,y+1/2,-z'
'x,-y+1/2,z'
'y+3/4,x+1/4,-z+3/4'
'-y+3/4,-x+1/4,z+3/4'
loop_
_atom_site_label
_atom_site_fract_x
_atom_site_fract_y
_atom_site_fract_z
Nd1 0.0000 0.0000 0.0000
Nb1 0.0000 0.0000 0.5000
O1 0.0000 0.0334 0.2006
```

Main lines, low angle first (2θ from 10° to 90°):
| 2θ/deg | I_rel |
| --- | --- |
| 29.84 | 41.6 |
| 31.97 | 100.0 |
| 40.27 | 44.0 |
| 50.92 | 36.2 |
| 54.32 | 29.6 |
| 68.01 | 24.3 |

---

# 5
Structure and theoretical powder XRD pattern of PmMg16Al12 (a DFT-relaxed cell (GGA-PBE, the Materials Project); Cu Kα, 1.54184 Å).
No peak broadening, texture or thermal motion is included.

```
data_PmMg16Al12
_chemical_formula_sum 'Pm2 Mg32 Al24'
_symmetry_space_group_name_H-M 'I -4 3 m'
_symmetry_Int_Tables_number 217
_symmetry_space_group_name_Hall 'I -4 2 3'
_cell_length_a 10.5696
_cell_length_b 10.5696
_cell_length_c 10.5696
_cell_angle_alpha 90.00
_cell_angle_beta 90.00
_cell_angle_gamma 90.00
loop_
_atom_site_label
_atom_site_fract_x
_atom_site_fract_y
_atom_site_fract_z
Pm1 0.0000 0.0000 0.0000
Mg1 0.0389 0.3584 0.6416
Mg2 0.1805 0.1805 0.1805
Al1 0.0916 0.0916 0.7213
```

Main lines, low angle first (2θ from 10° to 90°):
| 2θ/deg | I_rel |
| --- | --- |
| 11.84 | 36.9 |
| 20.58 | 17.7 |
| 31.67 | 20.9 |
| 36.05 | 100.0 |
| 40.01 | 20.6 |
| 64.82 | 27.8 |

---

# 6
Structure and theoretical powder XRD pattern of K3Ta (a DFT-relaxed cell (GGA-PBE, the Materials Project); Cu Kα, 1.54184 Å).
No peak broadening, texture or thermal motion is included.

```
data_K3Ta
_chemical_formula_sum 'K12 Ta4'
_symmetry_space_group_name_H-M 'F m -3 m'
_symmetry_Int_Tables_number 225
_symmetry_space_group_name_Hall '-F 4 2 3'
_cell_length_a 9.0156
_cell_length_b 9.0156
_cell_length_c 9.0156
_cell_angle_alpha 90.00
_cell_angle_beta 90.00
_cell_angle_gamma 90.00
loop_
_atom_site_label
_atom_site_fract_x
_atom_site_fract_y
_atom_site_fract_z
K1 0.0000 0.0000 0.0000
K2 0.2500 0.2500 0.2500
Ta1 0.0000 0.0000 0.5000
```

Main lines, low angle first (2θ from 10° to 90°):
| 2θ/deg | I_rel |
| --- | --- |
| 17.03 | 42.7 |
| 19.69 | 23.1 |
| 27.99 | 100.0 |
| 32.95 | 26.7 |
| 40.00 | 18.5 |
| 49.53 | 39.0 |

---

# 7
Structure and theoretical powder XRD pattern of Mg6TiGa (a DFT-relaxed cell (GGA-PBE, the Materials Project); Cu Kα, 1.54184 Å).
No peak broadening, texture or thermal motion is included.

```
data_Mg6TiGa
_chemical_formula_sum 'Mg12 Ti2 Ga2'
_symmetry_space_group_name_H-M 'A m m 2'
_symmetry_Int_Tables_number 38
_cell_length_a 4.9583
_cell_length_b 6.0173
_cell_length_c 11.0100
_cell_angle_alpha 90.00
_cell_angle_beta 90.00
_cell_angle_gamma 90.00
loop_
_symmetry_equiv_pos_as_xyz
'x,y,z'
'-x,-y,z'
'-x,y,z'
'x,-y,z'
'x,y+1/2,z+1/2'
'-x,-y+1/2,z+1/2'
'-x,y+1/2,z+1/2'
'x,-y+1/2,z+1/2'
loop_
_atom_site_label
_atom_site_fract_x
_atom_site_fract_y
_atom_site_fract_z
Mg1 0.0000 0.0000 0.0000
Mg2 0.0000 0.0000 0.4986
Mg3 0.0000 0.2460 0.2549
Mg4 0.5000 0.2489 0.5902
Ti1 0.5000 0.0000 0.3424
Ga1 0.5000 0.0000 0.8379
```

Main lines, low angle first (2θ from 10° to 90°):
| 2θ/deg | I_rel |
| --- | --- |
| 16.10 | 21.3 |
| 33.96 | 31.1 |
| 36.23 | 40.5 |
| 37.37 | 59.8 |
| 38.64 | 100.0 |
| 71.20 | 19.8 |